Simulated XRD peak list
Compound: Li10Si2PbO10
Radiation: Cu Kα, 1.54184 Å
Structure: a DFT-relaxed cell (GGA-PBE, Alexandria)

Principal peaks in the range 2θ = 10–90°, by angle:
14.74 deg, I 1000; 16.99 deg, I 497; 19.26 deg, I 617; 22.64 deg, I 401; 25.44 deg, I 724; 28.88 deg, I 527; 32.94 deg, I 415; 33.09 deg, I 392; 36.28 deg, I 380; 37.24 deg, I 405

Structure:
abc: 15.3906 15.3906 5.2018
angles: 99.40 99.40 23.01
Atoms (fractional coordinates):
1 Li 0.0080 0.0080 0.2597
2 Li 0.0629 0.5470 0.7086
3 Li 0.1486 0.5878 0.4665
4 Li 0.1492 0.7220 0.2717
5 Li 0.1758 0.1758 0.9279
6 Li 0.2303 0.2303 0.6370
7 Li 0.2780 0.8508 0.7283
8 Li 0.3674 0.3674 0.0153
9 Li 0.4122 0.8514 0.5335
10 Li 0.4530 0.9371 0.2914
11 Li 0.5470 0.0629 0.7086
12 Li 0.5878 0.1486 0.4665
13 Li 0.6326 0.6326 0.9847
14 Li 0.7220 0.1492 0.2717
15 Li 0.7697 0.7697 0.3630
16 Li 0.8242 0.8242 0.0721
17 Li 0.8508 0.2780 0.7283
18 Li 0.8514 0.4122 0.5335
19 Li 0.9371 0.4530 0.2914
20 Li 0.9920 0.9920 0.7403
21 Si 0.1005 0.1005 0.1934
22 Si 0.2809 0.2809 0.1905
23 Si 0.7191 0.7191 0.8095
24 Si 0.8995 0.8995 0.8066
25 Pb 0.4613 0.4613 0.7099
26 Pb 0.5387 0.5387 0.2901
27 O 0.0508 0.0508 0.0020
28 O 0.0811 0.5312 0.3270
29 O 0.0874 0.6531 0.8591
30 O 0.0948 0.0948 0.5062
31 O 0.2280 0.2280 0.2387
32 O 0.2495 0.7505 0.5000
33 O 0.2863 0.2863 0.8813
34 O 0.3469 0.9126 0.1409
35 O 0.4080 0.4080 0.3585
36 O 0.4688 0.9189 0.6730
37 O 0.5312 0.0811 0.3270
38 O 0.5920 0.5920 0.6415
39 O 0.6531 0.0874 0.8591
40 O 0.7137 0.7137 0.1187
41 O 0.7505 0.2495 0.5000
42 O 0.7720 0.7720 0.7613
43 O 0.9052 0.9052 0.4938
44 O 0.9126 0.3469 0.1409
45 O 0.9189 0.4688 0.6730
46 O 0.9492 0.9492 0.9980